Zn3GaAgS5: calculated powder diffractogram (Cu Ka), based on a DFT-relaxed cell (PBE, the Materials Project).
Intensities are scaled so that the largest is 100.

Structure:
abc: 6.403 6.750 10.312
angles: 70.90 89.97 89.95
Space group P1 (No. 1)
Inequivalent atoms, fractional coordinates:
Zn (0.000, 0.000, 0.000)
Zn (0.002, 0.198, 0.598)
Zn (0.004, 0.806, 0.395)
Zn (0.497, 0.741, 0.196)
Zn (0.504, 0.331, 0.999)
Zn (0.506, 0.933, 0.799)
Ga (0.001, 0.599, 0.797)
Ga (0.502, 0.132, 0.397)
Ag (0.001, 0.402, 0.198)
Ag (0.500, 0.536, 0.597)
S (0.103, 0.534, 0.599)
S (0.129, 0.925, 0.799)
S (0.133, 0.757, 0.197)
S (0.134, 0.336, 0.981)
S (0.142, 0.122, 0.411)
S (0.604, 0.400, 0.202)
S (0.629, 0.004, 0.995)
S (0.633, 0.181, 0.594)
S (0.635, 0.821, 0.385)
S (0.640, 0.602, 0.811)

Top 10 peaks for 2θ from 10° to 90°, low angle first:
2theta, Rel. int., (hkl)
26.41, 79.1, 0 2 1
27.87, 52.6, 2 0 0
29.93, 100.0, 1 1 3
38.77, 31.7, 2 2 1
46.61, 61.4, 0 3 4
50.60, 63.3, 3 1 3
55.18, 42.9, 2 0 5
56.38, 16.5, -1 2 6
71.23, 21.0, 3 4 2
80.16, 14.7, 5 1 3


Re3S4O9: calculated powder diffractogram (Cu Ka), based on a DFT-relaxed cell (PBE, the Materials Project).
Intensities are scaled so that the largest is 100.

Structure:
abc: 16.8698 16.8698 9.5591
angles: 90.00 90.00 120.00
Space group R-3 (No. 148, hexagonal axes)
Inequivalent atoms, fractional coordinates:
Re (0.0652, 0.9252, 0.3477)
S (0.0000, 0.0000, 0.2168)
S (0.0803, 0.9077, 0.5930)
O (0.0378, 0.5495, 0.5937)
O (0.0450, 0.4810, 0.5706)
O (0.0984, 0.5565, 0.9114)

Top 10 peaks for 2θ from 10° to 90°, low angle first:
2theta, Rel. int., (hkl)
10.49, 100.0, 1 1 0
11.06, 80.9, 1 0 1
19.54, 10.1, 0 1 2
23.85, 50.1, 1 3 1
27.99, 23.9, 0 0 3
29.98, 11.9, 1 1 3
32.03, 20.1, 0 5 1
36.03, 10.0, 5 0 2
40.01, 13.1, 5 -1 3
43.99, 10.3, 1 3 4


Li2CaHfF8: calculated powder diffractogram (Cu Ka), based on a DFT-relaxed cell (PBE, the Materials Project).
Intensities are scaled so that the largest is 100.

Structure:
abc: 5.177 5.177 10.611
angles: 90.00 90.00 90.00
Space group I-4 (No. 82)
Inequivalent atoms, fractional coordinates:
Li (0.000, 0.000, 0.000)
Li (0.000, 0.500, 0.250)
Ca (0.000, 0.000, 0.500)
Hf (0.000, 0.500, 0.750)
F (0.148, 0.291, 0.911)
F (0.189, 0.787, 0.320)

Top 10 peaks for 2θ from 10° to 90°, low angle first:
2theta, Rel. int., (hkl)
16.71, 21.1, 0 0 2
19.08, 100.0, 1 0 1
24.32, 15.0, 1 1 0
29.65, 46.6, 1 1 2
30.61, 16.4, 1 0 3
39.86, 29.5, 2 1 1
42.07, 11.1, 1 1 4
46.91, 22.5, 1 2 3
49.18, 16.7, 2 0 4
59.05, 24.7, 1 3 2


Sr2EuTaCu2O8: calculated powder diffractogram (Cu Ka), based on a DFT-relaxed cell (PBE, the Materials Project).
Intensities are scaled so that the largest is 100.

Structure:
abc: 3.944 3.944 11.782
angles: 90.00 90.00 90.00
Space group P4/mmm (No. 123)
Inequivalent atoms, fractional coordinates:
Sr (0.000, 0.000, 0.200)
Eu (0.000, 0.000, 0.500)
Ta (0.500, 0.500, 0.000)
Cu (0.500, 0.500, 0.356)
O (0.000, 0.500, 0.000)
O (0.000, 0.500, 0.367)
O (0.500, 0.500, 0.168)

Top 10 peaks for 2θ from 10° to 90°, low angle first:
2theta, Rel. int., (hkl)
15.04, 8.2, 0 0 2
23.79, 18.7, 1 0 1
32.14, 100.0, 1 1 0
38.16, 6.7, 0 0 5
44.77, 9.7, 1 1 4
46.03, 22.1, 2 0 0
57.26, 25.4, 2 1 3
57.39, 8.2, 1 1 6
67.29, 7.0, 2 0 6
76.38, 11.4, 3 1 0


Mo2WSe2S4: calculated powder diffractogram (Cu Ka), based on a DFT-relaxed cell (PBE, the Materials Project).
Intensities are scaled so that the largest is 100.

Structure:
abc: 3.2335 3.2335 29.8070
angles: 90.00 90.00 120.00
Space group P3m1 (No. 156)
Inequivalent atoms, fractional coordinates:
Mo (0.0000, 0.0000, 0.0000)
Mo (0.3333, 0.6667, 0.2313)
W (0.0000, 0.0000, 0.4627)
Se (0.3333, 0.6667, 0.4051)
Se (0.3333, 0.6667, 0.5202)
S (0.0000, 0.0000, 0.1793)
S (0.0000, 0.0000, 0.2833)
S (0.3333, 0.6667, 0.0520)
S (0.3333, 0.6667, 0.9480)

Top 10 peaks for 2θ from 10° to 90°, low angle first:
2theta, Rel. int., (hkl)
11.88, 100.0, 0 0 4
14.86, 19.5, 0 0 5
31.96, 20.0, 1 0 0
32.53, 12.7, 1 0 2
34.21, 16.0, 0 1 4
36.85, 34.1, 1 0 6
38.48, 37.7, 1 0 7
44.39, 15.2, 1 0 10
46.64, 31.0, 0 1 11
56.98, 19.6, 1 1 0